No. 1
Starting from a cell relaxed with PBE, the X-ray diffraction stick pattern of Ce3Pm5Sb8 was computed for Cu Kα, 1.54184 Å.
Kinematic intensities with the Lorentz-polarization factor, no thermal factor.

Peak list (6 most intense, 2θ = 15–90°, most intense first)
two_theta	I_rel
28.1	100
40.1	76
65.7	35
49.7	27
72.9	26
58.1	13

Cell and atoms:
a b c (Å): 8.9897 8.9897 8.9897
angles (deg): 59.97 59.97 59.97
Fractional positions:
1 Ce 0.0000 0.5000 0.5000
2 Ce 0.5000 0.0000 0.5000
3 Ce 0.5000 0.5000 0.0000
4 Pm 0.0000 0.0000 0.0000
5 Pm 0.0000 0.0000 0.5000
6 Pm 0.0000 0.5000 0.0000
7 Pm 0.5000 0.0000 0.0000
8 Pm 0.5000 0.5000 0.5000
9 Sb 0.2503 0.2503 0.2503
10 Sb 0.2500 0.2500 0.7487
11 Sb 0.2500 0.7487 0.2500
12 Sb 0.2513 0.7500 0.7500
13 Sb 0.7487 0.2500 0.2500
14 Sb 0.7500 0.2513 0.7500
15 Sb 0.7500 0.7500 0.2513
16 Sb 0.7497 0.7497 0.7497


No. 2
Starting from a cell relaxed with PBE, the X-ray diffraction stick pattern of FePt5Rh4 was computed for Cu Kα, 1.54184 Å.
Kinematic intensities with the Lorentz-polarization factor, no thermal factor.

Peak list (6 most intense, 2θ = 15–90°, most intense first)
two_theta	I_rel
40.1	100
46.7	49
68.1	31
82.0	25
82.2	13
86.6	11

Cell and atoms:
a b c (Å): 2.7549 3.8891 13.7775
angles (deg): 90.00 90.00 90.00
Fractional positions:
1 Fe 0.0000 0.0000 0.0000
2 Pt 0.5000 0.5000 0.0964
3 Pt 0.5000 0.5000 0.2974
4 Pt 0.5000 0.5000 0.5000
5 Pt 0.5000 0.5000 0.7026
6 Pt 0.5000 0.5000 0.9036
7 Rh 0.0000 0.0000 0.1982
8 Rh 0.0000 0.0000 0.3994
9 Rh 0.0000 0.0000 0.6006
10 Rh 0.0000 0.0000 0.8018


No. 3
Starting from a cell relaxed with PBE, the X-ray diffraction stick pattern of CeHoOsPd was computed for Cu Kα, 1.54184 Å.
Kinematic intensities with the Lorentz-polarization factor, no thermal factor.

Peak list (6 most intense, 2θ = 15–90°, most intense first)
two_theta	I_rel
36.6	100
65.8	36
52.7	18
89.0	17
77.7	11
22.1	4

Cell and atoms:
a b c (Å): 6.9535 6.9535 6.9535
angles (deg): 90.00 90.00 90.00
Fractional positions:
1 Ce 0.0000 0.0000 0.0000
2 Ce 0.0000 0.5000 0.5000
3 Ce 0.5000 0.0000 0.5000
4 Ce 0.5000 0.5000 0.0000
5 Ho 0.0000 0.0000 0.5000
6 Ho 0.0000 0.5000 0.0000
7 Ho 0.5000 0.0000 0.0000
8 Ho 0.5000 0.5000 0.5000
9 Os 0.2500 0.2500 0.7500
10 Os 0.2500 0.7500 0.2500
11 Os 0.7500 0.2500 0.2500
12 Os 0.7500 0.7500 0.7500
13 Pd 0.2500 0.2500 0.2500
14 Pd 0.2500 0.7500 0.7500
15 Pd 0.7500 0.2500 0.7500
16 Pd 0.7500 0.7500 0.2500


No. 4
Starting from a cell relaxed with PBE, the X-ray diffraction stick pattern of SmAgSnIr was computed for Cu Kα, 1.54184 Å.
Kinematic intensities with the Lorentz-polarization factor, no thermal factor.

Peak list (6 most intense, 2θ = 15–90°, most intense first)
two_theta	I_rel
36.7	100
66.2	36
52.9	18
89.6	17
78.1	11
22.3	5

Cell and atoms:
a b c (Å): 6.9197 6.9197 6.9197
angles (deg): 90.00 90.00 90.00
Fractional positions:
1 Sm 0.0000 0.0000 0.0000
2 Sm 0.0000 0.5000 0.5000
3 Sm 0.5000 0.0000 0.5000
4 Sm 0.5000 0.5000 0.0000
5 Ag 0.2500 0.2500 0.7500
6 Ag 0.2500 0.7500 0.2500
7 Ag 0.7500 0.2500 0.2500
8 Ag 0.7500 0.7500 0.7500
9 Sn 0.0000 0.0000 0.5000
10 Sn 0.0000 0.5000 0.0000
11 Sn 0.5000 0.0000 0.0000
12 Sn 0.5000 0.5000 0.5000
13 Ir 0.2500 0.2500 0.2500
14 Ir 0.2500 0.7500 0.7500
15 Ir 0.7500 0.2500 0.7500
16 Ir 0.7500 0.7500 0.2500